1.
Theoretical XRD peak list
Compound: InRe3O
Radiation: Cu Kα
Structure: a structure optimized by DFT (GGA-PBE)

Structural model:
```
InRe3O
1.0
4.176 0.000 0.000
0.000 4.176 0.000
0.000 0.000 4.176
In Re O
1 3 1
Cartesian
0.000 0.000 0.000
0.000 2.088 2.088
2.088 0.000 2.088
2.088 2.088 0.000
2.088 2.088 2.088
```

Largest 10 diffraction maxima, most intense first, 2θ = 10–90°:
2θ = 37.3°, I = 1000
2θ = 43.3°, I = 543
2θ = 75.5°, I = 393
2θ = 63.0°, I = 357
2θ = 79.5°, I = 123
2θ = 21.3°, I = 51
2θ = 48.8°, I = 23
2θ = 30.3°, I = 14
2θ = 67.3°, I = 11
2θ = 53.8°, I = 8


2.
Theoretical XRD peak list
Compound: TbIn2ReO8
Radiation: Cu Kα
Structure: a structure optimized by DFT (GGA-PBE)

Structural model:
```
TbIn2ReO8
1.0
4.963 0.000 0.000
0.000 6.607 0.000
-0.092 0.000 4.969
Tb In Re O
1 2 1 8
Cartesian
0.000 0.000 0.000
2.436 1.652 2.485
2.436 4.956 2.485
0.000 3.304 0.000
0.836 1.940 4.064
0.836 4.668 4.064
1.369 3.304 1.403
1.506 0.000 1.545
3.365 0.000 3.425
3.502 3.304 3.566
4.035 1.940 0.906
4.035 4.668 0.906
```

Largest 10 diffraction maxima, most intense first, 2θ = 10–90°:
2θ = 32.6°, I = 1000
2θ = 25.1°, I = 616
2θ = 25.6°, I = 565
2θ = 49.2°, I = 407
2θ = 49.7°, I = 382
2θ = 36.2°, I = 302
2θ = 62.8°, I = 226
2θ = 85.6°, I = 113
2θ = 68.2°, I = 111
2θ = 59.2°, I = 109


3.
Theoretical XRD peak list
Compound: InRu2O6
Radiation: Cu Kα
Structure: a structure optimized by DFT (GGA-PBE)

Structural model:
```
InRu2O6
1.0
8.869 0.000 0.000
-4.435 7.681 0.000
0.000 0.000 4.987
In Ru O
3 6 18
Cartesian
0.000 0.000 0.000
0.000 5.121 2.398
4.435 2.560 2.589
-1.593 2.759 0.000
-2.842 4.922 0.000
3.185 0.000 0.000
1.593 2.759 0.000
5.684 0.000 0.000
2.842 4.922 0.000
-1.558 4.221 3.672
0.000 1.959 4.051
-2.738 6.702 4.051
0.000 3.418 1.015
-1.475 5.972 1.015
1.696 0.979 0.936
2.960 1.709 3.972
1.558 4.221 3.672
0.000 6.919 3.672
4.435 0.762 1.316
2.877 3.460 1.316
1.475 5.972 1.015
2.738 6.702 4.051
5.909 1.709 3.972
4.435 4.263 3.972
7.173 0.979 0.936
4.435 5.722 0.936
5.992 3.460 1.316
```

Largest 10 diffraction maxima, most intense first, 2θ = 10–90°:
2θ = 26.9°, I = 1000
2θ = 51.1°, I = 966
2θ = 17.8°, I = 834
2θ = 35.0°, I = 831
2θ = 29.4°, I = 480
2θ = 39.6°, I = 467
2θ = 21.2°, I = 376
2θ = 35.8°, I = 329
2θ = 55.3°, I = 322
2θ = 62.9°, I = 264


4.
Theoretical XRD peak list
Compound: Sr2InRuO8
Radiation: Cu Kα
Structure: a structure optimized by DFT (GGA-PBE)

Structural model:
```
Sr2InRuO8
1.0
4.626 0.000 0.000
-0.161 5.306 0.000
-0.362 -0.337 7.487
Sr In Ru O
2 1 1 8
Cartesian
0.084 2.557 1.878
4.019 2.412 5.609
2.313 0.000 0.000
2.132 -0.169 3.743
0.071 4.576 3.867
0.752 3.890 0.010
1.758 0.698 2.095
1.682 1.374 4.679
2.421 3.594 2.808
2.345 4.270 5.392
3.351 1.078 7.477
4.032 0.392 3.620
```

Largest 10 diffraction maxima, most intense first, 2θ = 10–90°:
2θ = 25.2°, I = 1000
2θ = 28.6°, I = 866
2θ = 26.0°, I = 813
2θ = 29.8°, I = 646
2θ = 31.5°, I = 417
2θ = 30.0°, I = 403
2θ = 45.5°, I = 389
2θ = 33.8°, I = 352
2θ = 39.0°, I = 304
2θ = 46.2°, I = 262


5.
Theoretical XRD peak list
Compound: In3S3O
Radiation: Cu Kα
Structure: a structure optimized by DFT (GGA-PBE)

Structural model:
```
In3S3O
1.0
8.184 0.000 0.000
-4.092 7.088 0.000
0.000 0.000 5.600
In S O
6 6 2
Cartesian
0.000 2.588 1.400
-1.851 5.793 1.400
2.241 1.294 4.200
1.851 5.793 1.400
5.943 1.294 4.200
4.092 4.499 4.200
0.000 2.552 4.200
-1.882 5.812 4.200
2.210 1.276 1.400
1.882 5.812 4.200
5.974 1.276 1.400
4.092 4.536 1.400
0.000 4.725 1.400
4.092 2.363 4.200
```

Largest 10 diffraction maxima, most intense first, 2θ = 10–90°:
2θ = 25.1°, I = 1000
2θ = 29.8°, I = 895
2θ = 55.6°, I = 847
2θ = 32.0°, I = 750
2θ = 20.2°, I = 700
2θ = 44.3°, I = 698
2θ = 41.1°, I = 513
2θ = 33.5°, I = 464
2θ = 21.7°, I = 401
2θ = 46.9°, I = 348


6.
Theoretical XRD peak list
Compound: InSb2O6
Radiation: Cu Kα
Structure: a structure optimized by DFT (GGA-PBE)

Structural model:
```
InSb2O6
1.0
9.545 0.000 0.000
-4.772 8.266 0.000
0.000 0.000 4.760
In Sb O
3 6 18
Cartesian
0.000 0.000 0.000
0.000 5.511 2.322
4.772 2.755 2.438
-1.617 2.800 0.000
-3.156 5.466 0.000
3.233 0.000 0.000
1.617 2.800 0.000
6.311 0.000 0.000
3.156 5.466 0.000
-1.682 4.539 3.649
0.000 1.968 3.762
-3.068 7.282 3.762
0.000 3.585 1.087
-1.668 6.473 1.087
1.705 0.984 0.998
3.105 1.793 3.674
1.682 4.539 3.649
0.000 7.453 3.649
4.772 0.813 1.111
3.090 3.726 1.111
1.668 6.473 1.087
3.068 7.282 3.762
6.440 1.793 3.674
4.772 4.681 3.674
7.840 0.984 0.998
4.772 6.297 0.998
6.454 3.726 1.111
```

Largest 10 diffraction maxima, most intense first, 2θ = 10–90°:
2θ = 32.5°, I = 1000
2θ = 50.7°, I = 937
2θ = 26.4°, I = 934
2θ = 37.7°, I = 792
2θ = 18.6°, I = 697
2θ = 58.0°, I = 369
2θ = 21.5°, I = 346
2θ = 71.3°, I = 262
2θ = 42.4°, I = 248
2θ = 54.4°, I = 243


7.
Theoretical XRD peak list
Compound: In2SbO6
Radiation: Cu Kα
Structure: a structure optimized by DFT (GGA-PBE)

Structural model:
```
In2SbO6
1.0
5.095 0.000 0.000
0.000 5.570 0.000
0.000 0.000 9.020
In Sb O
4 2 12
Cartesian
0.000 0.000 1.718
0.000 0.000 7.302
2.548 2.785 2.792
2.548 2.785 6.228
0.000 2.785 0.000
2.548 0.000 4.510
0.973 1.046 0.000
1.114 3.642 1.449
1.114 3.642 7.571
1.433 0.856 3.061
1.433 0.856 5.959
1.574 3.831 4.510
3.521 1.739 4.510
3.662 4.714 3.061
3.662 4.714 5.959
3.981 1.929 1.449
3.981 1.929 7.571
4.122 4.524 0.000
```

Largest 10 diffraction maxima, most intense first, 2θ = 10–90°:
2θ = 31.0°, I = 1000
2θ = 20.0°, I = 948
2θ = 49.7°, I = 443
2θ = 33.9°, I = 383
2θ = 38.2°, I = 268
2θ = 48.4°, I = 265
2θ = 32.1°, I = 263
2θ = 56.6°, I = 218
2θ = 64.2°, I = 167
2θ = 60.6°, I = 167


8.
Theoretical XRD peak list
Compound: In2SbO5
Radiation: Cu Kα
Structure: a structure optimized by DFT (GGA-PBE)

Structural model:
```
In2SbO5
1.0
5.594 -2.794 0.000
5.594 2.794 0.000
-2.804 0.000 7.130
In Sb O
4 2 10
Cartesian
0.876 0.026 1.644
-0.526 -0.026 5.210
8.909 0.026 1.921
7.507 -0.026 5.486
5.594 0.000 0.000
4.192 0.000 3.565
3.190 1.850 3.920
1.192 0.836 6.082
3.792 1.850 6.775
4.893 1.041 1.783
2.594 -0.836 2.516
5.790 0.836 4.614
3.491 -1.041 5.348
4.592 -1.850 0.355
7.192 -0.836 1.049
5.194 -1.850 3.210
```

Largest 10 diffraction maxima, most intense first, 2θ = 10–90°:
2θ = 30.3°, I = 1000
2θ = 28.3°, I = 686
2θ = 33.5°, I = 612
2θ = 32.0°, I = 468
2θ = 24.6°, I = 464
2θ = 47.7°, I = 418
2θ = 51.0°, I = 377
2θ = 34.4°, I = 285
2θ = 58.0°, I = 254
2θ = 17.0°, I = 245


9.
Theoretical XRD peak list
Compound: TbInSb2O8
Radiation: Cu Kα
Structure: a structure optimized by DFT (GGA-PBE)

Structural model:
```
TbInSb2O8
1.0
-2.602 2.602 5.594
2.602 -2.602 5.594
2.602 2.602 -5.594
Tb In Sb O
1 1 2 8
Cartesian
0.000 0.000 0.000
2.602 0.000 2.797
0.000 0.000 5.594
0.000 2.602 2.797
1.261 1.008 -1.818
1.303 -0.992 4.579
1.610 1.299 1.016
1.594 -1.340 7.413
1.299 3.593 -1.016
1.340 1.594 3.776
0.992 1.303 6.610
1.008 3.942 1.818
```

Largest 10 diffraction maxima, most intense first, 2θ = 10–90°:
2θ = 29.0°, I = 1000
2θ = 47.7°, I = 319
2θ = 58.5°, I = 274
2θ = 34.5°, I = 190
2θ = 55.2°, I = 163
2θ = 49.5°, I = 154
2θ = 32.0°, I = 136
2θ = 77.3°, I = 119
2θ = 60.2°, I = 102
2θ = 77.5°, I = 64


10.
Theoretical XRD peak list
Compound: Zn2InSbO6
Radiation: Cu Kα
Structure: a structure optimized by DFT (GGA-PBE)

Structural model:
```
Zn2InSbO6
1.0
5.542 -4.582 0.000
5.542 4.582 0.000
-2.211 0.000 5.538
Zn In Sb O
4 2 2 12
Cartesian
1.914 0.649 0.821
0.808 -0.649 3.590
8.065 0.649 1.948
6.959 -0.649 4.717
3.884 0.898 4.153
4.990 -0.898 1.384
4.990 2.438 1.384
3.884 -2.438 4.153
-0.171 0.834 4.365
2.578 2.333 4.944
0.934 -0.834 1.596
3.653 0.828 1.786
5.190 2.333 3.363
2.548 -0.828 4.555
6.326 0.828 0.983
3.684 -2.333 2.175
5.220 -0.828 3.752
7.939 0.834 3.941
6.296 -2.333 0.594
9.045 -0.834 1.172
```

Largest 10 diffraction maxima, most intense first, 2θ = 10–90°:
2θ = 27.0°, I = 1000
2θ = 27.8°, I = 572
2θ = 32.3°, I = 505
2θ = 36.2°, I = 495
2θ = 26.0°, I = 486
2θ = 17.2°, I = 428
2θ = 38.8°, I = 424
2θ = 50.9°, I = 410
2θ = 17.9°, I = 369
2θ = 55.8°, I = 304


11.
Theoretical XRD peak list
Compound: Sc3InO
Radiation: Cu Kα
Structure: a structure optimized by DFT (GGA-PBE)

Structural model:
```
Sc3InO
1.0
5.244 -6.355 0.000
5.244 6.355 0.000
-0.235 0.000 5.654
Sc In O
12 4 4
Cartesian
1.201 0.843 0.511
3.920 3.924 2.325
1.083 -0.843 3.338
3.788 2.294 5.220
6.451 3.924 0.502
6.349 2.294 3.261
3.905 -2.294 2.393
3.803 -3.924 5.152
6.466 -2.294 0.434
9.171 0.843 2.316
6.334 -3.924 3.330
9.053 -0.843 5.143
3.565 0.867 2.482
3.447 -0.867 5.310
6.806 0.867 0.345
6.689 -0.867 3.172
5.186 5.577 1.414
5.068 3.921 4.241
5.186 -3.921 1.414
5.068 -5.577 4.241
```

Largest 10 diffraction maxima, most intense first, 2θ = 10–90°:
2θ = 36.4°, I = 1000
2θ = 37.0°, I = 605
2θ = 34.2°, I = 447
2θ = 36.7°, I = 444
2θ = 26.5°, I = 327
2θ = 56.8°, I = 275
2θ = 69.2°, I = 256
2θ = 48.3°, I = 237
2θ = 35.4°, I = 228
2θ = 31.6°, I = 218


12.
Theoretical XRD peak list
Compound: Sc2InO4
Radiation: Cu Kα
Structure: a structure optimized by DFT (GGA-PBE)

Structural model:
```
Sc2InO4
1.0
5.584 0.000 0.000
0.000 9.686 0.000
0.000 0.000 3.143
Sc In O
4 2 8
Cartesian
0.290 1.652 0.000
2.502 6.495 0.000
3.082 3.191 0.000
5.294 8.034 0.000
0.000 4.843 1.572
2.792 0.000 1.572
0.913 6.961 1.572
1.291 9.424 0.000
1.501 4.581 0.000
1.879 2.118 1.572
3.705 7.568 1.572
4.083 5.106 0.000
4.293 0.263 0.000
4.671 2.725 1.572
```

Largest 10 diffraction maxima, most intense first, 2θ = 10–90°:
2θ = 34.0°, I = 1000
2θ = 32.0°, I = 820
2θ = 47.4°, I = 583
2θ = 18.3°, I = 550
2θ = 58.4°, I = 450
2θ = 57.1°, I = 188
2θ = 68.5°, I = 172
2θ = 37.1°, I = 148
2θ = 77.3°, I = 125
2θ = 86.4°, I = 109